(1)
# AcTb2Pm5Pr
Simulated X-ray powder pattern, Cu Kα X-rays. Input: a crystal structure in Alexandria, relaxed with GGA-PBE.
No peak broadening, texture or thermal motion is included.

Atomic structure:
Cell: 12.4533 12.4533 9.5416 Å, 90.00 90.00 153.79°
Fractional coordinates of all 18 atoms:
1 Ac 0.1021 0.8979 0.5000
2 Ac 0.8979 0.1021 0.0000
3 Tb 0.3299 0.6701 0.7466
4 Tb 0.3880 0.6120 0.3602
5 Tb 0.6120 0.3880 0.8602
6 Tb 0.6701 0.3299 0.2466
7 Pm 0.0244 0.9756 0.8241
8 Pm 0.1031 0.8969 0.1050
9 Pm 0.1893 0.8107 0.8002
10 Pm 0.2413 0.7587 0.4332
11 Pm 0.4930 0.5070 0.6015
12 Pm 0.5070 0.4930 0.1015
13 Pm 0.7587 0.2413 0.9332
14 Pm 0.8107 0.1893 0.3002
15 Pm 0.8969 0.1031 0.6050
16 Pm 0.9756 0.0244 0.3241
17 Pr 0.2633 0.7367 0.1085
18 Pr 0.7367 0.2633 0.6085

Principal peaks in the range 2θ from 5° to 70°, in order of rising 2θ:
| Position (°2θ) | intensity |
| --- | --- |
| 26.8 | 18 |
| 29.0 | 31 |
| 30.7 | 57 |
| 31.7 | 100 |
| 32.5 | 38 |
| 43.5 | 21 |
| 55.8 | 11 |
| 56.5 | 11 |
| 57.0 | 8 |
| 63.7 | 9 |

(2)
# Ca2Zn6NiIr
Simulated X-ray powder pattern, Cu Kα X-rays. Input: a crystal structure in Alexandria, relaxed with GGA-PBE.
No peak broadening, texture or thermal motion is included.

Atomic structure:
Cell: 6.6596 6.6596 6.6596 Å, 60.00 60.00 60.00°
Fractional coordinates of all 10 atoms:
1 Ca 0.2500 0.2500 0.2500
2 Ca 0.7500 0.7500 0.7500
3 Zn 0.2426 0.2426 0.7574
4 Zn 0.2426 0.7574 0.2426
5 Zn 0.2426 0.7574 0.7574
6 Zn 0.7574 0.2426 0.2426
7 Zn 0.7574 0.2426 0.7574
8 Zn 0.7574 0.7574 0.2426
9 Ni 0.0000 0.0000 0.0000
10 Ir 0.5000 0.5000 0.5000

Principal peaks in the range 2θ from 5° to 70°, in order of rising 2θ:
| Position (°2θ) | intensity |
| --- | --- |
| 16.3 | 19 |
| 18.8 | 98 |
| 26.8 | 34 |
| 31.5 | 19 |
| 32.9 | 23 |
| 38.2 | 100 |
| 42.9 | 48 |
| 55.2 | 66 |
| 58.8 | 24 |
| 69.1 | 21 |

(3)
# CsSn2As2S6
Simulated X-ray powder pattern, Cu Kα X-rays. Input: a crystal structure in Alexandria, relaxed with GGA-PBE.
No peak broadening, texture or thermal motion is included.

Atomic structure:
Cell: 7.9770 7.9770 8.4089 Å, 118.89 118.89 56.66°
Fractional coordinates of all 11 atoms:
1 Cs 0.0000 0.0000 0.0000
2 Sn 0.3166 0.3166 0.0368
3 Sn 0.6834 0.6834 0.9632
4 As 0.4039 0.4039 0.4838
5 As 0.5961 0.5961 0.5162
6 S 0.0856 0.5442 0.2777
7 S 0.4558 0.9144 0.7223
8 S 0.4632 0.4632 0.8096
9 S 0.5368 0.5368 0.1904
10 S 0.5442 0.0856 0.2777
11 S 0.9144 0.4558 0.7223

Principal peaks in the range 2θ from 5° to 70°, in order of rising 2θ:
| Position (°2θ) | intensity |
| --- | --- |
| 12.6 | 47 |
| 13.3 | 28 |
| 13.9 | 54 |
| 15.8 | 53 |
| 22.3 | 34 |
| 23.5 | 55 |
| 25.7 | 100 |
| 25.8 | 38 |
| 34.8 | 61 |
| 47.4 | 29 |

(4)
# ZrMo
Simulated X-ray powder pattern, Cu Kα X-rays. Input: a crystal structure in Alexandria, relaxed with GGA-PBE.
No peak broadening, texture or thermal motion is included.

Atomic structure:
Cell: 3.2258 3.2258 7.3434 Å, 90.00 90.00 90.00°
Fractional coordinates of all 4 atoms:
1 Zr 0.2500 0.2500 0.1491
2 Zr 0.7500 0.7500 0.8509
3 Mo 0.2500 0.2500 0.5966
4 Mo 0.7500 0.7500 0.4034

Principal peaks in the range 2θ from 5° to 70°, in order of rising 2θ:
| Position (°2θ) | intensity |
| --- | --- |
| 12.1 | 8 |
| 30.3 | 2 |
| 36.7 | 3 |
| 37.1 | 100 |
| 39.5 | 47 |
| 46.6 | 7 |
| 49.7 | 7 |
| 55.0 | 4 |
| 57.1 | 15 |
| 65.2 | 13 |

(5)
# Nd2GaBi
Simulated X-ray powder pattern, Cu Kα X-rays. Input: a crystal structure in Alexandria, relaxed with GGA-PBE.
No peak broadening, texture or thermal motion is included.

Atomic structure:
Cell: 12.4121 12.4121 4.4181 Å, 90.00 90.00 158.58°
Fractional coordinates of all 8 atoms:
1 Nd 0.0589 0.9411 0.7500
2 Nd 0.3227 0.6773 0.7500
3 Nd 0.6773 0.3227 0.2500
4 Nd 0.9411 0.0589 0.2500
5 Ga 0.4651 0.5349 0.7500
6 Ga 0.5349 0.4651 0.2500
7 Bi 0.1894 0.8106 0.7500
8 Bi 0.8106 0.1894 0.2500

Principal peaks in the range 2θ from 5° to 70°, in order of rising 2θ:
| Position (°2θ) | intensity |
| --- | --- |
| 28.2 | 100 |
| 29.3 | 35 |
| 38.2 | 67 |
| 39.0 | 23 |
| 40.9 | 20 |
| 49.6 | 17 |
| 51.1 | 15 |
| 57.8 | 14 |
| 64.3 | 21 |
| 66.1 | 14 |